Structure and theoretical powder XRD pattern of LiMg2MoO4 (a structure optimized by DFT (PBE+U); Cu Kα (λ = 1.5418 Å)).
Peak positions follow from Bragg's law for the DFT cell and can differ from measured ones.

Principal peaks in the range 10° ≤ 2θ ≤ 90°, in order of rising 2θ:
- 2θ = 17.89°, I = 83
- 2θ = 20.93°, I = 55
- 2θ = 33.91°, I = 30
- 2θ = 35.79°, I = 37
- 2θ = 41.24°, I = 100
- 2θ = 42.60°, I = 45

Structural model:
Cell: 5.2152 3.1104 5.2762 Å, 90.00 108.05 90.00°
Space group P2/m (No. 10)
Inequivalent atoms, fractional coordinates:
Li (0.0000, 0.0000, 0.0000) x1
Mg (0.0000, 0.5000, 0.5000) x1
Mg (0.5000, 0.0000, 0.5000) x1
Mo (0.5000, 0.5000, 0.0000) x1
O (0.2508, 0.0000, 0.7465) x2
O (0.2600, 0.5000, 0.2692) x2